# 1
For Li2FeSiO4, a PBE+U-relaxed structure gives the computed XRD peak list in this record (Cu Kα X-rays).
Peak positions follow from Bragg's law for the DFT cell and can differ from measured ones.

Main lines, by angle (2θ = 10–80°):
16.41°, intensity 57, hkl 0 2 0; 23.28°, intensity 100, hkl 1 2 0; 23.43°, intensity 16, hkl 1 1 1; 28.39°, intensity 41, hkl 0 0 2; 32.96°, intensity 85, hkl 0 2 2; 33.16°, intensity 67, hkl 2 0 0; 33.27°, intensity 27, hkl 1 3 1; 47.65°, intensity 21, hkl 1 4 2; 58.90°, intensity 17, hkl 3 3 -1; 59.12°, intensity 30, hkl 0 6 2

Atomic structure:
```
data_Li2FeSiO4
_chemical_formula_sum 'Li8 Fe4 Si4 O16'
_cell_length_a 5.405
_cell_length_b 10.806
_cell_length_c 6.289
_cell_angle_alpha 90.00
_cell_angle_beta 91.22
_cell_angle_gamma 90.00
_symmetry_space_group_name_H-M 'P 1 21 1'
_symmetry_Int_Tables_number 4
loop_
_symmetry_equiv_pos_as_xyz
'x,y,z'
'-x,y+1/2,-z'
loop_
_atom_site_label
_atom_site_fract_x
_atom_site_fract_y
_atom_site_fract_z
Li1 0.047 0.000 0.258
Li2 0.084 0.503 0.234
Li3 0.424 0.171 0.733
Li4 0.431 0.172 0.263
Fe1 0.083 0.756 0.502
Fe2 0.427 0.919 0.992
Si1 0.070 0.254 0.000
Si2 0.430 0.421 0.507
O1 0.002 0.676 0.218
O2 0.004 0.177 0.218
O3 0.049 0.895 0.995
O4 0.123 0.416 0.518
O5 0.377 0.261 0.999
O6 0.442 0.995 0.289
O7 0.463 0.777 0.502
O8 0.483 0.498 0.285
```

=====

# 2
For LiFeSi3O8, a PBE+U-relaxed structure gives the computed XRD peak list in this record (Cu Kα X-rays).
Peak positions follow from Bragg's law for the DFT cell and can differ from measured ones.

Main lines, by angle (2θ = 10–80°):
13.57°, intensity 29, hkl 0 2 0; 22.18°, intensity 78, hkl 1 0 -2; 23.83°, intensity 70, hkl 1 1 1; 24.09°, intensity 82, hkl 0 3 1; 26.80°, intensity 100, hkl 2 0 -2; 27.34°, intensity 94, hkl 0 4 0; 27.52°, intensity 85, hkl 2 0 0; 28.37°, intensity 31, hkl 2 1 0; 28.97°, intensity 34, hkl 0 2 2; 30.81°, intensity 33, hkl 1 3 1

Atomic structure:
```
data_LiFeSi3O8
_chemical_formula_sum 'Li4 Fe4 Si12 O32'
_cell_length_a 7.440
_cell_length_b 13.050
_cell_length_c 8.027
_cell_angle_alpha 90.00
_cell_angle_beta 119.38
_cell_angle_gamma 90.00
_symmetry_space_group_name_H-M 'P 1 21/c 1'
_symmetry_Int_Tables_number 14
loop_
_symmetry_equiv_pos_as_xyz
'x,y,z'
'-x,-y,-z'
'-x,y+1/2,-z+1/2'
'x,-y+1/2,z+1/2'
loop_
_atom_site_label
_atom_site_fract_x
_atom_site_fract_y
_atom_site_fract_z
Li1 0.150 0.052 0.265
Fe1 0.178 0.174 0.976
Si1 0.256 0.662 0.512
Si2 0.298 0.104 0.652
Si3 0.357 0.620 0.175
O1 0.044 0.618 0.496
O2 0.170 0.111 0.766
O3 0.213 0.182 0.471
O4 0.261 0.626 0.319
O5 0.265 0.713 0.021
O6 0.271 0.512 0.051
O7 0.392 0.119 0.208
O8 0.454 0.616 0.703
```

=====

# 3
For Li2Fe2Si2O7, a PBE+U-relaxed structure gives the computed XRD peak list in this record (Cu Kα X-rays).
Peak positions follow from Bragg's law for the DFT cell and can differ from measured ones.

Main lines, by angle (2θ = 10–80°):
12.47°, intensity 66, hkl 0 1 1; 13.24°, intensity 100, hkl 0 2 0; 17.35°, intensity 32, hkl 1 1 -1; 20.28°, intensity 38, hkl 1 1 0; 25.09°, intensity 66, hkl 0 2 2; 27.42°, intensity 65, hkl 1 1 1; 33.11°, intensity 53, hkl 1 4 -2; 33.44°, intensity 31, hkl 1 3 1; 34.32°, intensity 39, hkl 0 4 2; 34.90°, intensity 57, hkl 2 1 -3

Atomic structure:
```
data_Li2Fe2Si2O7
_chemical_formula_sum 'Li8 Fe8 Si8 O28'
_cell_length_a 5.532
_cell_length_b 13.371
_cell_length_c 10.000
_cell_angle_alpha 90.00
_cell_angle_beta 123.10
_cell_angle_gamma 90.00
_symmetry_space_group_name_H-M 'P 1 21/c 1'
_symmetry_Int_Tables_number 14
loop_
_symmetry_equiv_pos_as_xyz
'x,y,z'
'-x,-y,-z'
'-x,y+1/2,-z+1/2'
'x,-y+1/2,z+1/2'
loop_
_atom_site_label
_atom_site_fract_x
_atom_site_fract_y
_atom_site_fract_z
Li1 0.028 0.246 0.333
Li2 0.239 0.126 0.106
Fe1 0.171 0.508 0.295
Fe2 0.449 0.087 0.618
Si1 0.234 0.617 0.034
Si2 0.368 0.671 0.536
O1 0.072 0.162 0.509
O2 0.084 0.640 0.359
O3 0.209 0.535 0.905
O4 0.294 0.656 0.671
O5 0.337 0.116 0.932
O6 0.416 0.562 0.210
O7 0.438 0.708 0.029
```

=====

# 4
For LiFeSiO4, a PBE+U-relaxed structure gives the computed XRD peak list in this record (Cu Kα X-rays).
Peak positions follow from Bragg's law for the DFT cell and can differ from measured ones.

Main lines, by angle (2θ = 10–80°):
21.70°, intensity 100, hkl 1 1 1; 24.51°, intensity 10, hkl 2 0 0; 27.59°, intensity 11, hkl 0 2 1; 31.86°, intensity 30, hkl 1 1 2; 34.64°, intensity 35, hkl 2 2 0; 41.51°, intensity 9, hkl 3 1 1; 44.24°, intensity 8, hkl 1 1 3; 47.54°, intensity 11, hkl 1 3 2; 54.92°, intensity 9, hkl 0 0 4; 60.34°, intensity 18, hkl 3 3 2

Atomic structure:
```
data_LiFeSiO4
_chemical_formula_sum 'Li4 Fe4 Si4 O16'
_cell_length_a 7.263
_cell_length_b 7.386
_cell_length_c 6.688
_cell_angle_alpha 90.00
_cell_angle_beta 90.00
_cell_angle_gamma 90.00
_symmetry_space_group_name_H-M 'C 2 2 21'
_symmetry_Int_Tables_number 20
loop_
_symmetry_equiv_pos_as_xyz
'x,y,z'
'-x,-y,z+1/2'
'x,-y,-z'
'-x,y,-z+1/2'
'x+1/2,y+1/2,z'
'-x+1/2,-y+1/2,z+1/2'
'x+1/2,-y+1/2,-z'
'-x+1/2,y+1/2,-z+1/2'
loop_
_atom_site_label
_atom_site_fract_x
_atom_site_fract_y
_atom_site_fract_z
Li1 0.000 0.194 0.250
Fe1 0.000 0.185 0.750
Si1 0.180 0.500 0.000
O1 0.052 0.317 0.987
O2 0.187 0.010 0.699
```

=====

# 5
For Li3Fe4Si6O20, a PBE+U-relaxed structure gives the computed XRD peak list in this record (Cu Kα X-rays).
Peak positions follow from Bragg's law for the DFT cell and can differ from measured ones.

Main lines, by angle (2θ = 10–80°):
10.66°, intensity 77, hkl 0 0 2; 18.52°, intensity 33, hkl 1 0 0; 18.72°, intensity 100, hkl 1 1 0; 19.02°, intensity 40, hkl 0 1 1; 19.16°, intensity 34, hkl 1 0 1; 20.95°, intensity 36, hkl 0 1 2; 21.68°, intensity 29, hkl 1 0 -2; 32.36°, intensity 56, hkl 0 0 6; 32.65°, intensity 32, hkl 1 2 1; 32.78°, intensity 33, hkl 2 1 1

Atomic structure:
```
data_Li3Fe4Si6O20
_chemical_formula_sum 'Li3 Fe4 Si6 O20'
_cell_length_a 5.495
_cell_length_b 5.512
_cell_length_c 16.644
_cell_angle_alpha 86.14
_cell_angle_beta 86.76
_cell_angle_gamma 60.62
_symmetry_space_group_name_H-M 'P 1'
_symmetry_Int_Tables_number 1
loop_
_symmetry_equiv_pos_as_xyz
'x,y,z'
loop_
_atom_site_label
_atom_site_fract_x
_atom_site_fract_y
_atom_site_fract_z
Li1 0.000 0.000 0.000
Li2 0.033 0.072 0.682
Li3 0.537 0.585 0.284
Fe1 0.176 0.626 0.149
Fe2 0.186 0.249 0.311
Fe3 0.371 0.426 0.656
Fe4 0.990 0.436 0.814
Si1 0.038 0.576 0.483
Si2 0.316 0.302 0.982
Si3 0.497 0.968 0.135
Si4 0.655 0.109 0.832
Si5 0.702 0.756 0.634
Si6 0.858 0.914 0.332
O1 0.075 0.326 0.925
O2 0.100 0.643 0.281
O3 0.134 0.319 0.424
O4 0.240 0.576 0.031
O5 0.290 0.245 0.188
O6 0.297 0.478 0.544
O7 0.357 0.042 0.045
O8 0.375 0.336 0.781
O9 0.417 0.750 0.666
O10 0.473 0.699 0.172
O11 0.557 0.925 0.322
O12 0.613 0.195 0.928
O13 0.691 0.054 0.645
O14 0.701 0.798 0.827
O15 0.758 0.657 0.541
O16 0.812 0.926 0.127
O17 0.862 0.202 0.299
O18 0.918 0.140 0.793
O19 0.963 0.855 0.425
O20 0.980 0.506 0.684
```

=====

Q: What is the formula in the first record?
A: Li2FeSiO4